Theoretical powder X-ray diffraction pattern of Li2FeSi3O8 for Cu Kα X-rays, from a cell relaxed with GGA+U.
No peak broadening, texture or thermal motion is included.

Atomic structure:
Unit cell a=7.8127 b=8.3131 c=10.9254 alpha=90.00 beta=93.48 gamma=90.00
Atoms (fractional coordinates):
Li: 0.0342 0.0000 0.2957
Li: 0.0666 0.5070 0.0033
Li: 0.4323 0.0061 0.4965
Li: 0.4661 0.4998 0.2042
Li: 0.5339 0.9998 0.7958
Li: 0.5677 0.5061 0.5035
Li: 0.9334 0.0070 0.9967
Li: 0.9658 0.5000 0.7043
Fe: 0.2034 0.3241 0.3232
Fe: 0.2968 0.8240 0.1771
Fe: 0.7032 0.3240 0.8229
Fe: 0.7966 0.8241 0.6768
Si: 0.1502 0.1431 0.5843
Si: 0.2271 0.7948 0.6826
Si: 0.2452 0.6643 0.4313
Si: 0.2554 0.1643 0.0691
Si: 0.2724 0.2948 0.8177
Si: 0.3493 0.6431 0.9161
Si: 0.6507 0.1431 0.0839
Si: 0.7276 0.7948 0.1823
Si: 0.7446 0.6643 0.9309
Si: 0.7548 0.1643 0.5687
Si: 0.7729 0.2948 0.3174
Si: 0.8498 0.6431 0.4157
O: 0.0360 0.7352 0.6984
O: 0.0491 0.5922 0.4475
O: 0.1439 0.0190 0.1256
O: 0.1463 0.2853 0.6903
O: 0.1749 0.1948 0.9253
O: 0.2382 0.6847 0.0303
O: 0.2419 0.8344 0.3574
O: 0.2498 0.4859 0.8526
O: 0.2496 0.9859 0.6477
O: 0.2592 0.3342 0.1432
O: 0.2616 0.1848 0.4702
O: 0.3250 0.6949 0.5752
O: 0.3530 0.7854 0.8101
O: 0.3568 0.5190 0.3748
O: 0.4514 0.0920 0.0524
O: 0.4634 0.2352 0.8017
O: 0.5366 0.7352 0.1983
O: 0.5486 0.5920 0.9476
O: 0.6432 0.0190 0.6252
O: 0.6470 0.2854 0.1899
O: 0.6750 0.1949 0.4248
O: 0.7384 0.6848 0.5298
O: 0.7408 0.8342 0.8568
O: 0.7504 0.4859 0.3523
O: 0.7502 0.9859 0.1474
O: 0.7581 0.3344 0.6426
O: 0.7618 0.1847 0.9697
O: 0.8251 0.6948 0.0747
O: 0.8537 0.7853 0.3097
O: 0.8561 0.5190 0.8744
O: 0.9509 0.0922 0.5525
O: 0.9640 0.2352 0.3016

Most intense lines, 2θ from 10° to 90°, in order of rising 2θ:
2theta	intensity	h k l
14.36	29	1 0 1
19.47	82	0 1 2
21.38	50	0 2 0
22.81	100	2 0 0
25.23	22	2 1 0
26.97	75	0 2 2
29.38	15	2 1 -2
31.46	28	2 2 0
34.63	29	0 1 4
36.30	35	2 2 2